# CdFeHg2
Computed X-ray powder pattern, Cu Kα (weighted mean of Kα1 and Kα2). Input: a crystal structure in Alexandria, relaxed with PBE.
Intensities are scaled so that the largest is 100.

Principal peaks in the range 2θ from 15° to 90°, sorted by position:
(hkl)	Position (°2θ)	d_spacing	Rel. int.
1 1 1	22.61	3.932	19
2 0 0	26.17	3.406	1
2 2 0	37.34	2.408	100
3 1 1	44.10	2.054	11
4 0 0	53.84	1.703	17
3 3 1	59.12	1.563	5
4 2 2	67.35	1.390	35
5 1 1	72.05	1.311	4
4 4 0	79.62	1.204	11
5 3 1	84.07	1.151	4

Atomic structure:
```
data_CdFeHg2
_space_group_name_H-M_alt 'F -4 3 m'
_space_group_IT_number 216
_space_group_name_Hall 'F -4 2 3'
_cell_length_a 6.811
_cell_length_b 6.811
_cell_length_c 6.811
_cell_angle_alpha 90.00
_cell_angle_beta 90.00
_cell_angle_gamma 90.00
loop_
_atom_site_label
_atom_site_type_symbol
_atom_site_fract_x
_atom_site_fract_y
_atom_site_fract_z
_atom_site_occupancy
Cd1 Cd 0.000 0.000 0.000 1
Fe1 Fe 0.250 0.250 0.750 1
Hg1 Hg 0.000 0.000 0.500 1
Hg2 Hg 0.250 0.250 0.250 1
```

=====

# Ho6CdFe2
Computed X-ray powder pattern, Cu Kα (weighted mean of Kα1 and Kα2). Input: a crystal structure in Alexandria, relaxed with PBE.
Intensities are scaled so that the largest is 100.

Principal peaks in the range 2θ from 15° to 90°, sorted by position:
(hkl)	Position (°2θ)	d_spacing	Rel. int.
0 1 3	28.52	3.130	16
0 3 1	29.29	3.049	14
3 1 0	30.08	2.970	19
2 2 2	32.20	2.780	100
2 1 3	34.45	2.604	27
1 3 2	34.66	2.588	28
2 3 1	35.13	2.555	22
3 2 1	35.46	2.531	14
0 0 4	36.14	2.485	14
4 0 0	38.45	2.341	17
3 5 0	56.20	1.637	12
5 3 2	60.19	1.538	18

Atomic structure:
```
data_Ho6CdFe2
_space_group_name_H-M_alt 'I m m m'
_space_group_IT_number 71
_space_group_name_Hall '-I 2 2'
_cell_length_a 9.364
_cell_length_b 9.611
_cell_length_c 9.941
_cell_angle_alpha 90.00
_cell_angle_beta 90.00
_cell_angle_gamma 90.00
loop_
_atom_site_label
_atom_site_type_symbol
_atom_site_fract_x
_atom_site_fract_y
_atom_site_fract_z
_atom_site_occupancy
Ho1 Ho 0.000 0.215 0.226 1
Ho2 Ho 0.204 0.500 0.188 1
Ho3 Ho 0.208 0.312 0.500 1
Cd1 Cd 0.000 0.000 0.000 1
Cd2 Cd 0.000 0.000 0.500 1
Fe1 Fe 0.000 0.386 0.000 1
Fe2 Fe 0.000 0.500 0.391 1
```